Starting from DFT lattice parameters and positions (GGA-PBE), the X-ray diffraction stick pattern of NaLa3Ru was computed for Cu Kα X-rays.

Lattice parameters (Å, degrees): 8.0266 6.7230 6.2654 90.00 90.06 90.00
Fractional positions:
1 Na 0.0000 0.1610 0.2500
2 Na 0.0000 0.8390 0.7500
3 La 0.2401 0.3357 0.7498
4 La 0.2401 0.6643 0.2498
5 La 0.5000 0.1487 0.2500
6 La 0.5000 0.8513 0.7500
7 La 0.7599 0.3357 0.7502
8 La 0.7599 0.6643 0.2502
9 Ru 0.5000 0.5000 0.0000
10 Ru 0.5000 0.5000 0.5000

Top 10 peaks for 15° ≤ 2θ ≤ 90°, in order of rising 2θ:
Position (°2θ)	d/Å	Rel. int.
22.3	3.980	16
28.5	3.133	23
29.6	3.019	100
30.2	2.962	56
33.5	2.676	27
38.9	2.318	41
45.2	2.007	16
46.4	1.957	30
51.1	1.786	22
55.3	1.661	32

Starting from DFT lattice parameters and positions (GGA-PBE), the X-ray diffraction stick pattern of NaLaTm2S4 was computed for Cu Kα X-rays.

Lattice parameters (Å, degrees): 6.8371 3.9240 7.0016 90.00 108.77 90.00
Fractional positions:
1 Na 0.0000 0.0000 0.0000
2 La 0.5000 0.5000 0.0000
3 Tm 0.0000 0.5000 0.5000
4 Tm 0.5000 0.0000 0.5000
5 S 0.2383 0.0000 0.7293
6 S 0.2549 0.5000 0.2706
7 S 0.7451 0.5000 0.7294
8 S 0.7617 0.0000 0.2707

Top 10 peaks for 15° ≤ 2θ ≤ 90°, in order of rising 2θ:
Position (°2θ)	d/Å	Rel. int.
26.9	3.315	17
27.6	3.237	16
27.7	3.218	31
31.8	2.811	100
45.0	2.014	12
45.2	2.006	24
46.1	1.971	23
46.3	1.962	12
57.3	1.609	12
66.5	1.406	11

Starting from DFT lattice parameters and positions (GGA-PBE), the X-ray diffraction stick pattern of NaLaUS4 was computed for Cu Kα X-rays.

Lattice parameters (Å, degrees): 8.3706 8.3706 8.3706 121.74 119.11 89.28
Fractional positions:
1 Na 0.3737 0.1237 0.2500
2 Na 0.6263 0.8763 0.7500
3 La 0.0000 0.5000 0.5000
4 La 0.5000 0.5000 0.0000
5 U 0.0000 0.0000 0.5000
6 U 0.0000 0.5000 0.0000
7 S 0.2073 0.7429 0.4644
8 S 0.2214 0.2571 0.9644
9 S 0.2254 0.2396 0.5143
10 S 0.2254 0.7111 0.9857
11 S 0.7746 0.2889 0.0143
12 S 0.7746 0.7604 0.4857
13 S 0.7786 0.7429 0.0356
14 S 0.7927 0.2571 0.5356

Top 10 peaks for 15° ≤ 2θ ≤ 90°, in order of rising 2θ:
Position (°2θ)	d/Å	Rel. int.
24.8	3.592	75
25.4	3.510	82
25.8	3.455	38
26.5	3.363	34
30.0	2.978	51
30.4	2.939	100
39.5	2.280	40
43.3	2.092	87
54.6	1.681	25
78.5	1.219	25

Starting from DFT lattice parameters and positions (GGA-PBE), the X-ray diffraction stick pattern of Na2LaZrS4 was computed for Cu Kα X-rays.

Lattice parameters (Å, degrees): 6.9153 3.9248 7.1135 90.00 108.47 90.00
Fractional positions:
1 Na 0.0000 0.0000 0.0000
2 Na 0.5000 0.5000 0.0000
3 La 0.0000 0.5000 0.5000
4 Zr 0.5000 0.0000 0.5000
5 S 0.2702 0.0000 0.7351
6 S 0.2784 0.5000 0.2761
7 S 0.7216 0.5000 0.7239
8 S 0.7298 0.0000 0.2649

Top 10 peaks for 15° ≤ 2θ ≤ 90°, in order of rising 2θ:
Position (°2θ)	d/Å	Rel. int.
26.5	3.369	40
27.6	3.231	18
31.4	2.845	50
31.6	2.835	100
40.8	2.210	21
44.2	2.049	18
44.7	2.029	35
45.6	1.988	33
46.3	1.962	17
57.0	1.616	23

Starting from DFT lattice parameters and positions (GGA-PBE), the X-ray diffraction stick pattern of NaLa4Se6 was computed for Cu Kα X-rays.

Lattice parameters (Å, degrees): 5.9851 5.9851 9.5056 108.28 108.28 90.00
Fractional positions:
1 Na 0.0000 0.0000 0.0000
2 La 0.1233 0.1233 0.7173
3 La 0.4066 0.8798 0.2827
4 La 0.5963 0.5963 0.7168
5 La 0.8798 0.4066 0.2827
6 Se 0.0012 0.5007 0.9999
7 Se 0.0624 0.5845 0.6441
8 Se 0.4186 0.4186 0.3558
9 Se 0.5007 0.0012 0.9999
10 Se 0.5845 0.0624 0.6441
11 Se 0.9408 0.9408 0.3557

Top 10 peaks for 15° ≤ 2θ ≤ 90°, in order of rising 2θ:
Position (°2θ)	d/Å	Rel. int.
20.9	4.260	29
23.5	3.790	55
29.9	2.993	69
31.5	2.840	42
31.7	2.823	63
36.7	2.449	100
38.2	2.358	55
42.7	2.116	61
54.0	1.697	34
58.6	1.575	30

Starting from DFT lattice parameters and positions (GGA-PBE), the X-ray diffraction stick pattern of Na3LaSm2Se6 was computed for Cu Kα X-rays.

Lattice parameters (Å, degrees): 7.4200 7.4200 7.4203 99.60 99.60 120.01
Fractional positions:
1 Na 0.0000 0.0000 0.0000
2 Na 0.3335 0.6665 0.0000
3 Na 0.6665 0.3335 0.0000
4 La 0.5000 0.5000 0.5000
5 Sm 0.1668 0.8332 0.5000
6 Sm 0.8332 0.1668 0.5000
7 Se 0.0820 0.4217 0.2653
8 Se 0.2387 0.2387 0.7356
9 Se 0.4217 0.0820 0.2653
10 Se 0.5783 0.9180 0.7347
11 Se 0.7613 0.7613 0.2644
12 Se 0.9180 0.5783 0.7347

Top 10 peaks for 15° ≤ 2θ ≤ 90°, in order of rising 2θ:
Position (°2θ)	d/Å	Rel. int.
24.4	3.653	20
29.5	3.029	100
38.6	2.332	12
42.2	2.142	74
44.2	2.048	11
52.3	1.749	26
54.1	1.697	7
61.2	1.515	12
69.4	1.355	32
77.1	1.237	24

Starting from DFT lattice parameters and positions (GGA-PBE), the X-ray diffraction stick pattern of NaLa4Th3Se8 was computed for Cu Kα X-rays.

Lattice parameters (Å, degrees): 8.5121 8.5121 8.5121 60.03 60.03 60.03
Fractional positions:
1 Na 0.0000 0.0000 0.0000
2 La 0.0000 0.0000 0.5000
3 La 0.0000 0.5000 0.0000
4 La 0.5000 0.0000 0.0000
5 La 0.5000 0.5000 0.5000
6 Th 0.0000 0.5000 0.5000
7 Th 0.5000 0.0000 0.5000
8 Th 0.5000 0.5000 0.0000
9 Se 0.2447 0.2447 0.7505
10 Se 0.2447 0.7505 0.2447
11 Se 0.2495 0.7553 0.7553
12 Se 0.2516 0.2516 0.2516
13 Se 0.7484 0.7484 0.7484
14 Se 0.7505 0.2447 0.2447
15 Se 0.7553 0.2495 0.7553
16 Se 0.7553 0.7553 0.2495

Top 10 peaks for 15° ≤ 2θ ≤ 90°, in order of rising 2θ:
Position (°2θ)	d/Å	Rel. int.
20.9	4.257	5
24.5	3.630	6
25.6	3.476	19
29.7	3.010	100
42.5	2.128	75
50.3	1.815	10
52.7	1.738	27
61.6	1.505	12
69.9	1.346	34
77.7	1.229	25

Starting from DFT lattice parameters and positions (GGA-PBE), the X-ray diffraction stick pattern of NaLaSiTc2 was computed for Cu Kα X-rays.

Lattice parameters (Å, degrees): 4.9385 4.9385 5.5996 90.00 90.00 90.00
Fractional positions:
1 Na 0.0000 0.0000 0.0000
2 La 0.5000 0.5000 0.5000
3 Si 0.5000 0.5000 0.0000
4 Tc 0.0000 0.5000 0.5000
5 Tc 0.5000 0.0000 0.5000

Top 10 peaks for 15° ≤ 2θ ≤ 90°, in order of rising 2θ:
Position (°2θ)	d/Å	Rel. int.
15.8	5.600	100
18.0	4.939	38
24.0	3.704	32
32.0	2.800	34
36.4	2.469	48
39.9	2.259	39
49.2	1.852	40
52.4	1.746	20
55.1	1.667	15
62.7	1.482	19

Q: What is the formula in the third record?
A: NaLaUS4